1.
# Ac6Nd5Tm2
Calculated powder X-ray diffraction pattern, Cu Kα, 1.54184 Å. Input: a structure optimized by DFT (GGA-PBE).

Peak list (8 most intense, 15 to 90 degrees two-theta, in order of falling intensity)
d/Å  I_rel
3.423  1000
2.919  858
2.978  693
3.015  673
2.628  473
2.780  316
1.891  263
1.595  249

Cell and atoms:
```
Ac6Nd5Tm2
1.0
11.356 0.000 0.000
0.000 24.122 0.000
0.000 0.000 3.757
Ac Nd Tm
12 10 4
Direct
0.018 0.114 0.000 Ac
0.148 0.385 0.000 Ac
0.166 0.635 0.500 Ac
0.334 0.135 0.500 Ac
0.352 0.885 0.000 Ac
0.482 0.614 0.000 Ac
0.518 0.386 0.000 Ac
0.648 0.115 0.000 Ac
0.666 0.865 0.500 Ac
0.834 0.365 0.500 Ac
0.852 0.615 0.000 Ac
0.982 0.886 0.000 Ac
0.000 0.500 0.500 Nd
0.084 0.250 0.500 Nd
0.164 0.997 0.500 Nd
0.336 0.497 0.500 Nd
0.416 0.750 0.500 Nd
0.500 0.000 0.500 Nd
0.584 0.250 0.500 Nd
0.664 0.503 0.500 Nd
0.836 0.003 0.500 Nd
0.916 0.750 0.500 Nd
0.166 0.765 0.000 Tm
0.334 0.265 0.000 Tm
0.666 0.735 0.000 Tm
0.834 0.235 0.000 Tm
```



2.
# SmGa2Tc2P
Calculated powder X-ray diffraction pattern, Cu Kα, 1.54184 Å. Input: a structure optimized by DFT (GGA-PBE).

Peak list (8 most intense, 15 to 90 degrees two-theta, in order of falling intensity)
d/Å  I_rel
2.746  1000
2.224  655
2.378  590
1.624  357
1.365  290
1.573  216
1.189  154
3.490  149

Cell and atoms:
```
SmGa2Tc2P
1.0
4.448 0.000 0.000
0.000 4.448 0.000
0.000 0.000 5.629
Sm Ga Tc P
1 2 2 1
Direct
0.000 0.000 0.000 Sm
0.500 0.500 0.227 Ga
0.500 0.500 0.773 Ga
0.000 0.500 0.500 Tc
0.500 0.000 0.500 Tc
0.000 0.000 0.500 P
```